Starting from a structure optimized by DFT (PBE+U), the powder X-ray diffraction pattern of Sr4FeMoO8 was simulated for a wavelength of 1.5418 Å.
Neutral-atom scattering factors, no anomalous dispersion.

Structural model:
```
Sr4FeMoO8
1.0
2.732 -6.454 0.000
2.732 6.454 0.000
0.000 0.000 5.518
Sr Fe Mo O
4 1 1 8
direct
0.147 0.853 0.000 Sr
0.350 0.650 0.500 Sr
0.650 0.350 0.500 Sr
0.853 0.147 0.000 Sr
0.000 0.000 0.500 Fe
0.500 0.500 0.000 Mo
0.160 0.840 0.500 O
0.250 0.250 0.254 O
0.250 0.250 0.746 O
0.340 0.660 0.000 O
0.660 0.340 0.000 O
0.750 0.750 0.254 O
0.750 0.750 0.746 O
0.840 0.160 0.500 O
```

Peak list (8 most intense, 10 to 90 degrees two-theta, in order of rising 2θ)
Position (°2θ), I/Imax
31.02, 100.0
32.45, 32.6
32.78, 31.7
42.01, 27.7
46.79, 34.9
57.00, 18.2
57.42, 17.7
64.67, 18.4